[1]
This entry pairs a crystal structure of TaAlHCl2 with its computed powder X-ray diffraction pattern. Radiation: Cu Kα, 1.54184 Å. Structure: a GGA-PBE-relaxed structure.
Lines closer than 0.1° are merged.

Principal peaks in the range 15° ≤ 2θ ≤ 90°, by angle:
hkl 1 0 0, d = 4.922 Å, intensity 94
hkl 0 0 1, d = 3.756 Å, intensity 54
hkl 1 0 1, d = 2.986 Å, intensity 100
hkl 2 0 0, d = 2.461 Å, intensity 55
hkl 2 0 1, d = 2.059 Å, intensity 40
hkl 2 1 1, d = 1.899 Å, intensity 55

Atomic structure:
```
data_TaAlHCl2
_chemical_formula_sum 'Ta1 Al1 H1 Cl2'
_symmetry_space_group_name_H-M 'P 4/m m m'
_symmetry_Int_Tables_number 123
_symmetry_space_group_name_Hall '-P 4 2'
_cell_length_a 4.922
_cell_length_b 4.922
_cell_length_c 3.756
_cell_angle_alpha 90.00
_cell_angle_beta 90.00
_cell_angle_gamma 90.00
loop_
_atom_site_label
_atom_site_fract_x
_atom_site_fract_y
_atom_site_fract_z
Ta1 0.000 0.000 0.000
Al1 0.500 0.500 0.500
H1 0.000 0.000 0.500
Cl1 0.000 0.500 0.000
```

---

[2]
This entry pairs a crystal structure of BaNa2MgCl6 with its computed powder X-ray diffraction pattern. Radiation: Cu Kα, 1.54184 Å. Structure: a GGA-PBE-relaxed structure.
Lines closer than 0.1° are merged.

Principal peaks in the range 15° ≤ 2θ ≤ 90°, by angle:
hkl 1 1 0, d = 5.275 Å, intensity 100
hkl 1 1 1, d = 4.028 Å, intensity 63
hkl 1 0 2, d = 2.878 Å, intensity 39
hkl 1 1 2, d = 2.685 Å, intensity 48
hkl 2 2 0, d = 2.638 Å, intensity 82
hkl 2 0 2, d = 2.393 Å, intensity 38

Atomic structure:
```
data_BaNa2MgCl6
_chemical_formula_sum 'Ba1 Na2 Mg1 Cl6'
_symmetry_space_group_name_H-M 'P 4 m m'
_symmetry_Int_Tables_number 99
_cell_length_a 7.460
_cell_length_b 7.460
_cell_length_c 6.239
_cell_angle_alpha 90.00
_cell_angle_beta 90.00
_cell_angle_gamma 90.00
loop_
_symmetry_equiv_pos_as_xyz
'x,y,z'
'-y,x,z'
'-x,-y,z'
'y,-x,z'
'-x,y,z'
'y,x,z'
'x,-y,z'
'-y,-x,z'
loop_
_atom_site_label
_atom_site_fract_x
_atom_site_fract_y
_atom_site_fract_z
Ba1 0.000 0.000 0.000
Na1 0.000 0.500 0.332
Mg1 0.500 0.500 0.040
Cl1 0.000 0.000 0.526
Cl2 0.273 0.273 0.158
Cl3 0.500 0.500 0.670
```

---

[3]
This entry pairs a crystal structure of Dy4InHg2 with its computed powder X-ray diffraction pattern. Radiation: Cu Kα, 1.54184 Å. Structure: a GGA-PBE-relaxed structure.
Lines closer than 0.1° are merged.

Principal peaks in the range 15° ≤ 2θ ≤ 90°, by angle:
hkl 0 1 2, d = 4.245 Å, intensity 18
hkl 1 1 0, d = 2.604 Å, intensity 100
hkl 0 1 8, d = 2.578 Å, intensity 91
hkl 2 0 8, d = 1.832 Å, intensity 33
hkl 3 0 0, d = 1.504 Å, intensity 19
hkl 1 2 8, d = 1.498 Å, intensity 34

Atomic structure:
```
data_Dy4InHg2
_chemical_formula_sum 'Dy12 In3 Hg6'
_symmetry_space_group_name_H-M 'R -3 m'
_symmetry_Int_Tables_number 166
_symmetry_space_group_name_Hall '-R 3 2"'
_cell_length_a 5.2086
_cell_length_b 5.2086
_cell_length_c 25.1298
_cell_angle_alpha 90.00
_cell_angle_beta 90.00
_cell_angle_gamma 120.00
loop_
_atom_site_label
_atom_site_fract_x
_atom_site_fract_y
_atom_site_fract_z
Dy1 0.0000 0.0000 0.1166
Dy2 0.0000 0.0000 0.3701
In1 0.0000 0.0000 0.5000
Hg1 0.0000 0.0000 0.2475
```

---

[4]
This entry pairs a crystal structure of Ba2TlPb3 with its computed powder X-ray diffraction pattern. Radiation: Cu Kα, 1.54184 Å. Structure: a GGA-PBE-relaxed structure.
Lines closer than 0.1° are merged.

Principal peaks in the range 15° ≤ 2θ ≤ 90°, by angle:
hkl 1 1 1, d = 3.370 Å, intensity 32
hkl 3 1 -1, d = 3.322 Å, intensity 29
hkl 1 1 -2, d = 3.124 Å, intensity 70
hkl 3 1 0, d = 2.863 Å, intensity 100
hkl 4 0 -3, d = 2.685 Å, intensity 30
hkl 0 2 0, d = 2.574 Å, intensity 49

Atomic structure:
```
data_Ba2TlPb3
_chemical_formula_sum 'Ba4 Tl2 Pb6'
_symmetry_space_group_name_H-M 'C 1 m 1'
_symmetry_Int_Tables_number 8
_cell_length_a 13.143
_cell_length_b 5.148
_cell_length_c 8.409
_cell_angle_alpha 90.00
_cell_angle_beta 128.16
_cell_angle_gamma 90.00
loop_
_symmetry_equiv_pos_as_xyz
'x,y,z'
'x,-y,z'
'x+1/2,y+1/2,z'
'x+1/2,-y+1/2,z'
loop_
_atom_site_label
_atom_site_fract_x
_atom_site_fract_y
_atom_site_fract_z
Ba1 0.000 0.000 0.000
Ba2 0.111 0.000 0.607
Tl1 0.398 0.000 0.220
Pb1 0.219 0.500 0.006
Pb2 0.219 0.500 0.389
Pb3 0.400 0.000 0.614
```

---

[5]
This entry pairs a crystal structure of NaHPdO2 with its computed powder X-ray diffraction pattern. Radiation: Cu Kα, 1.54184 Å. Structure: a GGA-PBE-relaxed structure.
Lines closer than 0.1° are merged.

Principal peaks in the range 15° ≤ 2θ ≤ 90°, by angle:
hkl 0 1 0, d = 5.057 Å, intensity 68
hkl 1 0 0, d = 3.750 Å, intensity 79
hkl 1 1 0, d = 3.012 Å, intensity 100
hkl 1 1 -2, d = 2.164 Å, intensity 45
hkl 1 1 2, d = 2.152 Å, intensity 44
hkl 0 2 2, d = 1.957 Å, intensity 45

Atomic structure:
```
data_NaHPdO2
_chemical_formula_sum 'Na2 H2 Pd2 O4'
_symmetry_space_group_name_H-M 'P 1 2/c 1'
_symmetry_Int_Tables_number 13
_cell_length_a 3.750
_cell_length_b 5.057
_cell_length_c 6.185
_cell_angle_alpha 90.00
_cell_angle_beta 90.41
_cell_angle_gamma 90.00
loop_
_symmetry_equiv_pos_as_xyz
'x,y,z'
'-x,-y,-z'
'-x,y,-z+1/2'
'x,-y,z+1/2'
loop_
_atom_site_label
_atom_site_fract_x
_atom_site_fract_y
_atom_site_fract_z
Na1 0.000 0.006 0.250
H1 0.500 0.000 0.000
Pd1 0.500 0.499 0.750
O1 0.467 0.234 0.000
```

---

[6]
This entry pairs a crystal structure of Tm4AlGa12 with its computed powder X-ray diffraction pattern. Radiation: Cu Kα, 1.54184 Å. Structure: a GGA-PBE-relaxed structure.
Lines closer than 0.1° are merged.

Principal peaks in the range 15° ≤ 2θ ≤ 90°, by angle:
hkl 2 0 0, d = 4.332 Å, intensity 15
hkl 2 2 0, d = 3.063 Å, intensity 28
hkl 2 2 2, d = 2.501 Å, intensity 100
hkl 4 0 0, d = 2.166 Å, intensity 52
hkl 4 4 0, d = 1.532 Å, intensity 29
hkl 6 2 2, d = 1.306 Å, intensity 29

Atomic structure:
```
data_Tm4AlGa12
_chemical_formula_sum 'Tm8 Al2 Ga24'
_symmetry_space_group_name_H-M 'I m -3 m'
_symmetry_Int_Tables_number 229
_symmetry_space_group_name_Hall '-I 4 2 3'
_cell_length_a 8.665
_cell_length_b 8.665
_cell_length_c 8.665
_cell_angle_alpha 90.00
_cell_angle_beta 90.00
_cell_angle_gamma 90.00
loop_
_atom_site_label
_atom_site_fract_x
_atom_site_fract_y
_atom_site_fract_z
Tm1 0.250 0.250 0.250
Al1 0.000 0.000 0.000
Ga1 0.000 0.000 0.304
Ga2 0.000 0.250 0.500
```

---

[7]
This entry pairs a crystal structure of Ca2Mg6Hg3 with its computed powder X-ray diffraction pattern. Radiation: Cu Kα, 1.54184 Å. Structure: a GGA-PBE-relaxed structure.
Lines closer than 0.1° are merged.

Principal peaks in the range 15° ≤ 2θ ≤ 90°, by angle:
hkl 0 0 1, d = 4.606 Å, intensity 46
hkl 1 1 0, d = 4.232 Å, intensity 88
hkl 1 1 1, d = 3.116 Å, intensity 100
hkl 2 0 1, d = 2.868 Å, intensity 48
hkl 2 1 1, d = 2.374 Å, intensity 54
hkl 3 1 1, d = 1.860 Å, intensity 43

Atomic structure:
```
data_Ca2Mg6Hg3
_chemical_formula_sum 'Ca2 Mg6 Hg3'
_symmetry_space_group_name_H-M 'P -6 2 m'
_symmetry_Int_Tables_number 189
_symmetry_space_group_name_Hall 'P -6 -2'
_cell_length_a 8.4641
_cell_length_b 8.4641
_cell_length_c 4.6056
_cell_angle_alpha 90.00
_cell_angle_beta 90.00
_cell_angle_gamma 120.00
loop_
_atom_site_label
_atom_site_fract_x
_atom_site_fract_y
_atom_site_fract_z
Ca1 0.3333 0.6667 0.0000
Mg1 0.0000 0.2077 0.0000
Mg2 0.0000 0.7295 0.5000
Hg1 0.0000 0.4032 0.5000
```

---

[8]
This entry pairs a crystal structure of SmPd2Au5 with its computed powder X-ray diffraction pattern. Radiation: Cu Kα, 1.54184 Å. Structure: a GGA-PBE-relaxed structure.
Lines closer than 0.1° are merged.

Principal peaks in the range 15° ≤ 2θ ≤ 90°, by angle:
hkl 1 2 1, d = 2.812 Å, intensity 49
hkl 1 0 3, d = 2.470 Å, intensity 100
hkl 1 3 0, d = 2.309 Å, intensity 53
hkl 2 0 0, d = 2.113 Å, intensity 35
hkl 0 3 3, d = 2.043 Å, intensity 34
hkl 2 3 3, d = 1.469 Å, intensity 23

Atomic structure:
```
data_SmPd2Au5
_chemical_formula_sum 'Sm2 Pd4 Au10'
_symmetry_space_group_name_H-M 'I m m m'
_symmetry_Int_Tables_number 71
_symmetry_space_group_name_Hall '-I 2 2'
_cell_length_a 4.225
_cell_length_b 8.270
_cell_length_c 9.133
_cell_angle_alpha 90.00
_cell_angle_beta 90.00
_cell_angle_gamma 90.00
loop_
_atom_site_label
_atom_site_fract_x
_atom_site_fract_y
_atom_site_fract_z
Sm1 0.000 0.000 0.000
Pd1 0.000 0.500 0.299
Au1 0.000 0.176 0.341
Au2 0.000 0.500 0.000
```

---

[9]
This entry pairs a crystal structure of CaY3Zn2 with its computed powder X-ray diffraction pattern. Radiation: Cu Kα, 1.54184 Å. Structure: a GGA-PBE-relaxed structure.
Lines closer than 0.1° are merged.

Principal peaks in the range 15° ≤ 2θ ≤ 90°, by angle:
hkl 1 0 3, d = 2.740 Å, intensity 100
hkl 1 1 0, d = 2.568 Å, intensity 74
hkl 1 0 4, d = 2.371 Å, intensity 62
hkl 2 0 0, d = 1.816 Å, intensity 25
hkl 2 1 3, d = 1.514 Å, intensity 30
hkl 2 1 4, d = 1.442 Å, intensity 24

Atomic structure:
```
data_CaY3Zn2
_chemical_formula_sum 'Ca1 Y3 Zn2'
_symmetry_space_group_name_H-M 'P 4/m m m'
_symmetry_Int_Tables_number 123
_symmetry_space_group_name_Hall '-P 4 2'
_cell_length_a 3.632
_cell_length_b 3.632
_cell_length_c 12.518
_cell_angle_alpha 90.00
_cell_angle_beta 90.00
_cell_angle_gamma 90.00
loop_
_atom_site_label
_atom_site_fract_x
_atom_site_fract_y
_atom_site_fract_z
Ca1 0.000 0.000 0.000
Y1 0.500 0.500 0.225
Y2 0.500 0.500 0.500
Zn1 0.000 0.000 0.358
```

---

[10]
This entry pairs a crystal structure of CaAcPr3 with its computed powder X-ray diffraction pattern. Radiation: Cu Kα, 1.54184 Å. Structure: a GGA-PBE-relaxed structure.
Lines closer than 0.1° are merged.

Principal peaks in the range 15° ≤ 2θ ≤ 90°, by angle:
hkl 1 1 0, d = 5.762 Å, intensity 28
hkl 0 2 2, d = 3.416 Å, intensity 43
hkl 2 0 0, d = 3.052 Å, intensity 42
hkl 1 5 0, d = 3.031 Å, intensity 64
hkl 1 3 2, d = 2.785 Å, intensity 100
hkl 2 2 2, d = 2.276 Å, intensity 30

Atomic structure:
```
data_CaAcPr3
_chemical_formula_sum 'Ca4 Ac4 Pr12'
_symmetry_space_group_name_H-M 'C m c m'
_symmetry_Int_Tables_number 63
_symmetry_space_group_name_Hall '-C 2c 2'
_cell_length_a 6.104
_cell_length_b 17.460
_cell_length_c 7.424
_cell_angle_alpha 90.00
_cell_angle_beta 90.00
_cell_angle_gamma 90.00
loop_
_atom_site_label
_atom_site_fract_x
_atom_site_fract_y
_atom_site_fract_z
Ca1 0.000 0.115 0.250
Ac1 0.000 0.489 0.250
Pr1 0.000 0.130 0.750
Pr2 0.000 0.308 0.002
```

---

[11]
This entry pairs a crystal structure of NaCd3In5 with its computed powder X-ray diffraction pattern. Radiation: Cu Kα, 1.54184 Å. Structure: a GGA-PBE-relaxed structure.
Lines closer than 0.1° are merged.

Principal peaks in the range 15° ≤ 2θ ≤ 90°, by angle:
hkl 3 3 0, d = 2.725 Å, intensity 100
hkl 0 2 2, d = 2.715 Å, intensity 37
hkl 3 1 2, d = 2.617 Å, intensity 79
hkl 6 0 0, d = 2.457 Å, intensity 39
hkl 0 4 2, d = 1.961 Å, intensity 27
hkl 3 3 4, d = 1.398 Å, intensity 24

Atomic structure:
```
data_NaCd3In5
_chemical_formula_sum 'Na4 Cd12 In20'
_symmetry_space_group_name_H-M 'C m c m'
_symmetry_Int_Tables_number 63
_symmetry_space_group_name_Hall '-C 2c 2'
_cell_length_a 14.742
_cell_length_b 9.823
_cell_length_c 6.515
_cell_angle_alpha 90.00
_cell_angle_beta 90.00
_cell_angle_gamma 90.00
loop_
_atom_site_label
_atom_site_fract_x
_atom_site_fract_y
_atom_site_fract_z
Na1 0.000 0.000 0.000
Cd1 0.000 0.337 0.250
Cd2 0.171 0.147 0.750
In1 0.000 0.317 0.750
In2 0.159 0.500 0.000
In3 0.171 0.167 0.250
```

---

[12]
This entry pairs a crystal structure of Tb7Sc2In2 with its computed powder X-ray diffraction pattern. Radiation: Cu Kα, 1.54184 Å. Structure: a GGA-PBE-relaxed structure.
Lines closer than 0.1° are merged.

Principal peaks in the range 15° ≤ 2θ ≤ 90°, by angle:
hkl 0 5 1, d = 3.301 Å, intensity 43
hkl 1 1 2, d = 2.931 Å, intensity 100
hkl 0 0 4, d = 2.703 Å, intensity 58
hkl 1 4 1, d = 2.666 Å, intensity 74
hkl 1 3 2, d = 2.644 Å, intensity 70
hkl 0 6 2, d = 2.548 Å, intensity 56

Atomic structure:
```
data_Tb7Sc2In2
_chemical_formula_sum 'Tb14 Sc4 In4'
_symmetry_space_group_name_H-M 'I m m 2'
_symmetry_Int_Tables_number 44
_cell_length_a 3.560
_cell_length_b 17.330
_cell_length_c 10.813
_cell_angle_alpha 90.00
_cell_angle_beta 90.00
_cell_angle_gamma 90.00
loop_
_symmetry_equiv_pos_as_xyz
'x,y,z'
'-x,-y,z'
'-x,y,z'
'x,-y,z'
'x+1/2,y+1/2,z+1/2'
'-x+1/2,-y+1/2,z+1/2'
'-x+1/2,y+1/2,z+1/2'
'x+1/2,-y+1/2,z+1/2'
loop_
_atom_site_label
_atom_site_fract_x
_atom_site_fract_y
_atom_site_fract_z
Tb1 0.000 0.000 0.000
Tb2 0.000 0.107 0.557
Tb3 0.000 0.324 0.316
Tb4 0.000 0.349 0.778
Sc1 0.000 0.231 0.050
In1 0.000 0.000 0.304
In2 0.000 0.500 0.252
```

---

Question: Which formula does entry 9 have?
Answer: CaY3Zn2